Entry 1:
Theoretical PXRD pattern
Compound: TeBr
Radiation: Cu Kα X-rays
Structure: DFT lattice parameters and positions (PBE)
Intensities are scaled so that the largest is 100.

Atomic structure:
```
TeBr
1.0
7.130 0.000 0.000
0.000 10.051 0.000
0.000 0.000 10.647
Te Br
8 8
Direct
0.070 0.145 0.188
0.070 0.851 0.748
0.430 0.149 0.248
0.430 0.855 0.688
0.570 0.355 0.812
0.570 0.649 0.252
0.930 0.351 0.752
0.930 0.645 0.312
0.040 0.096 0.872
0.089 0.719 0.105
0.411 0.281 0.605
0.460 0.904 0.372
0.540 0.404 0.128
0.589 0.781 0.895
0.911 0.219 0.395
0.960 0.596 0.628
```

Principal peaks in the range 2θ from 10° to 90°, sorted by position:
2θ = 16.65°, I = 74.0; 2θ = 17.38°, I = 41.2; 2θ = 19.53°, I = 100.0; 2θ = 24.98°, I = 52.9; 2θ = 29.48°, I = 49.3; 2θ = 30.84°, I = 30.2; 2θ = 36.78°, I = 34.1; 2θ = 40.38°, I = 33.7; 2θ = 46.89°, I = 40.4; 2θ = 50.10°, I = 26.3



Entry 2:
Theoretical PXRD pattern
Compound: TeBr
Radiation: Cu Kα X-rays
Structure: DFT lattice parameters and positions (PBE)
Intensities are scaled so that the largest is 100.

Atomic structure:
```
TeBr
1.0
7.155 0.000 0.000
0.000 8.534 0.000
0.000 0.000 5.994
Te Br
4 4
Direct
0.186 0.000 0.000
0.314 0.500 0.000
0.686 0.500 0.000
0.814 0.000 0.000
0.250 0.250 0.696
0.250 0.750 0.304
0.750 0.250 0.304
0.750 0.750 0.696
```

Principal peaks in the range 2θ from 10° to 90°, sorted by position:
2θ = 14.78°, I = 68.6; 2θ = 16.17°, I = 28.6; 2θ = 21.97°, I = 100.0; 2θ = 24.89°, I = 61.5; 2θ = 25.63°, I = 92.3; 2θ = 36.02°, I = 41.8; 2θ = 36.64°, I = 55.2; 2θ = 37.17°, I = 25.1; 2θ = 42.13°, I = 40.9; 2θ = 44.80°, I = 39.4



Entry 3:
Theoretical PXRD pattern
Compound: ThTeBr2
Radiation: Cu Kα X-rays
Structure: DFT lattice parameters and positions (PBE)
Intensities are scaled so that the largest is 100.

Atomic structure:
```
ThTeBr2
1.0
11.313 0.000 0.000
0.000 4.090 0.000
-3.171 0.000 7.192
Th Te Br
2 2 4
Direct
0.000 0.000 0.000
0.500 0.500 0.000
0.293 0.000 0.000
0.793 0.500 0.000
0.146 0.500 0.281
0.489 0.000 0.719
0.646 0.000 0.281
0.989 0.500 0.719
```

Principal peaks in the range 2θ from 10° to 90°, sorted by position:
2θ = 12.31°, I = 100.0; 2θ = 16.58°, I = 19.9; 2θ = 24.79°, I = 20.2; 2θ = 28.12°, I = 32.4; 2θ = 31.63°, I = 49.1; 2θ = 32.35°, I = 26.5; 2θ = 33.99°, I = 19.3; 2θ = 35.46°, I = 18.4; 2θ = 36.85°, I = 15.8; 2θ = 39.87°, I = 16.1



Entry 4:
Theoretical PXRD pattern
Compound: Th2TiTe2Br4
Radiation: Cu Kα X-rays
Structure: DFT lattice parameters and positions (PBE)
Intensities are scaled so that the largest is 100.

Atomic structure:
```
Th2TiTe2Br4
1.0
3.800 0.000 0.000
-1.900 3.290 0.000
0.000 0.000 23.911
Th Ti Te Br
2 1 2 4
Direct
0.000 0.000 0.000
0.333 0.667 0.337
0.333 0.667 0.679
0.000 0.000 0.605
0.000 0.000 0.753
0.000 0.000 0.249
0.000 0.000 0.425
0.333 0.667 0.088
0.333 0.667 0.912
```

Principal peaks in the range 2θ from 10° to 90°, sorted by position:
2θ = 11.10°, I = 100.0; 2θ = 27.10°, I = 48.9; 2θ = 29.37°, I = 16.1; 2θ = 31.02°, I = 50.4; 2θ = 33.05°, I = 75.3; 2θ = 37.97°, I = 31.7; 2θ = 40.79°, I = 32.4; 2θ = 47.88°, I = 37.1; 2θ = 49.31°, I = 15.6; 2θ = 68.21°, I = 19.3



Entry 5:
Theoretical PXRD pattern
Compound: TiTeBr3
Radiation: Cu Kα X-rays
Structure: DFT lattice parameters and positions (PBE)
Intensities are scaled so that the largest is 100.

Atomic structure:
```
TiTeBr3
1.0
7.150 -8.092 0.000
7.150 8.092 0.000
-1.424 0.000 6.650
Ti Te Br
4 4 12
Direct
0.179 0.821 0.750
0.315 0.685 0.250
0.685 0.315 0.750
0.821 0.179 0.250
0.253 0.585 0.601
0.415 0.747 0.899
0.585 0.253 0.101
0.747 0.415 0.399
0.031 0.220 0.433
0.100 0.714 0.041
0.220 0.031 0.933
0.271 0.462 0.118
0.286 0.900 0.459
0.462 0.271 0.618
0.538 0.729 0.382
0.714 0.100 0.541
0.729 0.538 0.882
0.780 0.969 0.067
0.900 0.286 0.959
0.969 0.780 0.567
```

Principal peaks in the range 2θ from 10° to 90°, sorted by position:
2θ = 10.93°, I = 65.4; 2θ = 12.66°, I = 100.0; 2θ = 16.76°, I = 50.9; 2θ = 21.97°, I = 47.2; 2θ = 25.48°, I = 54.1; 2θ = 27.18°, I = 68.8; 2θ = 27.51°, I = 86.8; 2θ = 30.06°, I = 81.7; 2θ = 33.07°, I = 44.1; 2θ = 38.58°, I = 55.4



Entry 6:
Theoretical PXRD pattern
Compound: Tl5Te2Br
Radiation: Cu Kα X-rays
Structure: DFT lattice parameters and positions (PBE)
Intensities are scaled so that the largest is 100.

Atomic structure:
```
Tl5Te2Br
1.0
13.141 0.000 0.000
0.000 9.932 0.000
0.000 0.000 8.964
Tl Te Br
20 8 4
Direct
0.013 0.250 0.012
0.101 0.558 0.670
0.101 0.942 0.670
0.174 0.250 0.344
0.213 0.750 0.284
0.287 0.250 0.784
0.326 0.750 0.844
0.399 0.058 0.170
0.399 0.442 0.170
0.487 0.750 0.512
0.513 0.250 0.488
0.601 0.558 0.830
0.601 0.942 0.830
0.674 0.250 0.156
0.713 0.750 0.216
0.787 0.250 0.716
0.826 0.750 0.656
0.899 0.058 0.330
0.899 0.442 0.330
0.987 0.750 0.988
0.188 0.510 0.008
0.188 0.990 0.008
0.312 0.010 0.508
0.312 0.490 0.508
0.688 0.510 0.492
0.688 0.990 0.492
0.812 0.010 0.992
0.812 0.490 0.992
0.037 0.250 0.649
0.463 0.750 0.149
0.537 0.250 0.851
0.963 0.750 0.351
```

Principal peaks in the range 2θ from 10° to 90°, sorted by position:
2θ = 24.57°, I = 73.6; 2θ = 27.66°, I = 45.7; 2θ = 28.49°, I = 27.9; 2θ = 28.95°, I = 100.0; 2θ = 30.11°, I = 84.4; 2θ = 30.23°, I = 30.8; 2θ = 30.34°, I = 21.0; 2θ = 30.69°, I = 71.7; 2θ = 32.68°, I = 27.0; 2θ = 36.18°, I = 33.9



Entry 7:
Theoretical PXRD pattern
Compound: TlTeBr6
Radiation: Cu Kα X-rays
Structure: DFT lattice parameters and positions (PBE)
Intensities are scaled so that the largest is 100.

Atomic structure:
```
TlTeBr6
1.0
3.696 2.134 6.793
-3.696 2.134 6.793
0.000 -4.268 6.793
Tl Te Br
1 1 6
Direct
0.000 0.000 0.000
0.500 0.500 0.500
0.087 0.593 0.593
0.407 0.407 0.913
0.407 0.913 0.407
0.593 0.087 0.593
0.593 0.593 0.087
0.913 0.407 0.407
```

Principal peaks in the range 2θ from 10° to 90°, sorted by position:
2θ = 16.35°, I = 63.4; 2θ = 22.30°, I = 100.0; 2θ = 28.22°, I = 69.7; 2θ = 29.24°, I = 73.2; 2θ = 35.66°, I = 24.6; 2θ = 35.91°, I = 70.4; 2θ = 41.30°, I = 36.1; 2θ = 49.31°, I = 40.6; 2θ = 50.51°, I = 26.6; 2θ = 53.29°, I = 26.7



Entry 8:
Theoretical PXRD pattern
Compound: Tl10Te4Br
Radiation: Cu Kα X-rays
Structure: DFT lattice parameters and positions (PBE)
Intensities are scaled so that the largest is 100.

Atomic structure:
```
Tl10Te4Br
1.0
-6.325 6.325 3.820
6.325 -6.325 3.820
6.325 6.325 -3.820
Tl Te Br
10 4 1
Direct
0.031 0.120 0.684
0.120 0.436 0.089
0.250 0.750 0.500
0.346 0.031 0.911
0.436 0.346 0.316
0.564 0.654 0.684
0.654 0.969 0.089
0.750 0.250 0.500
0.880 0.564 0.911
0.969 0.880 0.316
0.216 0.573 0.790
0.427 0.216 0.643
0.573 0.784 0.357
0.784 0.427 0.210
0.000 0.000 0.000
```

Principal peaks in the range 2θ from 10° to 90°, sorted by position:
2θ = 19.53°, I = 18.2; 2θ = 22.22°, I = 43.2; 2θ = 23.29°, I = 17.7; 2θ = 31.63°, I = 52.0; 2θ = 32.41°, I = 100.0; 2θ = 39.65°, I = 19.8; 2θ = 45.34°, I = 17.6; 2θ = 51.58°, I = 11.0; 2θ = 56.83°, I = 32.7; 2θ = 58.29°, I = 17.3



Entry 9:
Theoretical PXRD pattern
Compound: V2Te4Br
Radiation: Cu Kα X-rays
Structure: DFT lattice parameters and positions (PBE)
Intensities are scaled so that the largest is 100.

Atomic structure:
```
V2Te4Br
1.0
8.178 0.000 0.000
4.080 7.268 0.000
4.083 -2.029 6.984
V Te Br
4 8 2
Direct
0.000 0.000 0.000
0.059 0.403 0.979
0.500 0.425 0.576
0.559 0.403 0.978
0.013 0.217 0.755
0.045 0.684 0.802
0.092 0.666 0.150
0.469 0.686 0.801
0.513 0.180 0.793
0.545 0.226 0.260
0.592 0.575 0.241
0.969 0.226 0.261
0.401 0.958 0.244
0.901 0.669 0.532
```

Principal peaks in the range 2θ from 10° to 90°, sorted by position:
2θ = 12.68°, I = 32.7; 2θ = 21.34°, I = 18.1; 2θ = 25.51°, I = 65.7; 2θ = 26.65°, I = 52.2; 2θ = 29.94°, I = 100.0; 2θ = 30.76°, I = 25.9; 2θ = 33.76°, I = 21.3; 2θ = 34.31°, I = 26.1; 2θ = 43.46°, I = 44.6; 2θ = 44.31°, I = 29.2



Entry 10:
Theoretical PXRD pattern
Compound: TeWBr9
Radiation: Cu Kα X-rays
Structure: DFT lattice parameters and positions (PBE)
Intensities are scaled so that the largest is 100.

Atomic structure:
```
TeWBr9
1.0
7.121 0.000 0.000
0.000 12.145 0.000
-2.639 0.000 10.117
Te W Br
2 2 18
Direct
0.243 0.250 0.468
0.757 0.750 0.532
0.356 0.250 0.851
0.644 0.750 0.149
0.020 0.250 0.679
0.050 0.093 0.333
0.050 0.407 0.333
0.245 0.101 0.971
0.245 0.399 0.971
0.312 0.750 0.012
0.452 0.106 0.695
0.452 0.394 0.695
0.478 0.750 0.645
0.522 0.250 0.355
0.548 0.606 0.305
0.548 0.894 0.305
0.688 0.250 0.988
0.755 0.601 0.029
0.755 0.899 0.029
0.950 0.593 0.667
0.950 0.907 0.667
0.980 0.750 0.321
```

Principal peaks in the range 2θ from 10° to 90°, sorted by position:
2θ = 11.38°, I = 42.1; 2θ = 14.59°, I = 68.8; 2θ = 14.78°, I = 100.0; 2θ = 19.00°, I = 51.4; 2θ = 27.39°, I = 34.8; 2θ = 28.09°, I = 52.7; 2θ = 29.17°, I = 56.1; 2θ = 29.42°, I = 33.8; 2θ = 34.54°, I = 44.7; 2θ = 44.25°, I = 44.9



Entry 11:
Theoretical PXRD pattern
Compound: ZnTe2Br
Radiation: Cu Kα X-rays
Structure: DFT lattice parameters and positions (PBE)
Intensities are scaled so that the largest is 100.

Atomic structure:
```
ZnTe2Br
1.0
12.257 0.000 0.000
0.000 3.680 0.000
-1.361 0.000 5.693
Zn Te Br
2 4 2
Direct
0.000 0.000 0.000
0.500 0.500 0.000
0.000 0.500 0.599
0.141 0.500 0.300
0.500 0.000 0.599
0.641 0.000 0.300
0.338 0.000 0.953
0.838 0.500 0.953
```

Principal peaks in the range 2θ from 10° to 90°, sorted by position:
2θ = 14.86°, I = 70.7; 2θ = 23.99°, I = 86.0; 2θ = 25.33°, I = 61.9; 2θ = 30.45°, I = 44.2; 2θ = 30.79°, I = 100.0; 2θ = 31.52°, I = 61.8; 2θ = 34.44°, I = 37.8; 2θ = 39.12°, I = 66.9; 2θ = 42.34°, I = 39.8; 2θ = 45.00°, I = 50.9



Entry 12:
Theoretical PXRD pattern
Compound: ThBr
Radiation: Cu Kα X-rays
Structure: DFT lattice parameters and positions (PBE)
Intensities are scaled so that the largest is 100.

Atomic structure:
```
ThBr
1.0
3.685 0.000 0.000
0.000 3.805 0.000
-0.033 0.000 10.895
Th Br
2 2
Direct
0.249 0.250 0.381
0.751 0.750 0.619
0.248 0.750 0.174
0.752 0.250 0.826
```

Principal peaks in the range 2θ from 10° to 90°, sorted by position:
2θ = 25.52°, I = 80.2; 2θ = 28.62°, I = 100.0; 2θ = 29.26°, I = 26.7; 2θ = 32.88°, I = 25.5; 2θ = 34.13°, I = 26.3; 2θ = 34.88°, I = 58.0; 2θ = 42.25°, I = 40.3; 2θ = 47.84°, I = 25.1; 2θ = 54.97°, I = 19.7; 2θ = 58.16°, I = 27.9



> Which formula does entry 2 have?

TeBr



> What is the formula in the twelfth record?

ThBr